[1]
Starting from a DFT-relaxed cell (PBE, Alexandria), the powder diffractogram of AgHg5Pd6 was computed for Cu Ka.
Lines closer than 0.1° are merged.

Structural model:
abc: 4.8628 6.1567 7.2024
angles: 90.00 97.65 90.00
Fractional positions:
Ag (0.0000, 0.0000, 0.0000)
Hg (0.0000, 0.5000, 0.0000)
Hg (0.3295, 0.0000, 0.6739)
Hg (0.3308, 0.5000, 0.6668)
Hg (0.6692, 0.5000, 0.3332)
Hg (0.6705, 0.0000, 0.3261)
Pd (0.1704, 0.2485, 0.3346)
Pd (0.1704, 0.7515, 0.3346)
Pd (0.5000, 0.2514, 0.0000)
Pd (0.5000, 0.7486, 0.0000)
Pd (0.8296, 0.2485, 0.6654)
Pd (0.8296, 0.7515, 0.6654)

The 8 most intense peaks (10° ≤ 2θ ≤ 90°), by angle:
d [Å]	2θ (°)	intensity
2.382	37.8	100.0
2.174	41.5	38.3
1.884	48.3	16.0
1.539	60.1	6.4
1.424	65.6	20.5
1.293	73.2	14.4
1.291	73.4	14.2
1.163	83.0	7.9

---

[2]
Starting from a DFT-relaxed cell (PBE, Alexandria), the powder diffractogram of USi2Ni10 was computed for Cu Ka.
Lines closer than 0.1° are merged.

Structural model:
abc: 6.1882 6.1882 6.1882
angles: 134.31 100.87 96.47
Fractional positions:
U (0.0000, 0.0000, 0.0000)
Si (0.2501, 0.7501, 0.5000)
Si (0.7499, 0.2499, 0.5000)
Ni (0.0000, 0.0000, 0.5000)
Ni (0.0000, 0.5000, 0.0000)
Ni (0.1812, 0.5000, 0.6812)
Ni (0.3414, 0.0000, 0.3414)
Ni (0.3529, 0.3529, 0.0000)
Ni (0.5000, 0.0000, 0.0000)
Ni (0.5000, 0.5000, 0.5000)
Ni (0.6471, 0.6471, 0.0000)
Ni (0.6586, 0.0000, 0.6586)
Ni (0.8188, 0.5000, 0.3188)

The 8 most intense peaks (10° ≤ 2θ ≤ 90°), by angle:
d [Å]	2θ (°)	intensity
5.697	15.6	45.8
2.595	34.6	46.4
2.305	39.1	92.2
2.076	43.6	93.6
2.061	43.9	51.2
2.051	44.1	60.5
2.041	44.4	60.0
2.012	45.1	100.0

---

[3]
Starting from a DFT-relaxed cell (PBE, Alexandria), the powder diffractogram of Cs4Rb3Se was computed for Cu Ka.
Lines closer than 0.1° are merged.

Structural model:
abc: 11.2107 13.8208 9.8297
angles: 90.00 90.00 90.00
Fractional positions:
Cs (0.0512, 0.2500, 0.2304)
Cs (0.2500, 0.5763, 0.4870)
Cs (0.2500, 0.9237, 0.4870)
Cs (0.4488, 0.2500, 0.2304)
Cs (0.5512, 0.7500, 0.7696)
Cs (0.7500, 0.0763, 0.5130)
Cs (0.7500, 0.4237, 0.5130)
Cs (0.9488, 0.7500, 0.7696)
Rb (0.2500, 0.2500, 0.7401)
Rb (0.2500, 0.5718, 0.9819)
Rb (0.2500, 0.9282, 0.9819)
Rb (0.7500, 0.0718, 0.0181)
Rb (0.7500, 0.4282, 0.0181)
Rb (0.7500, 0.7500, 0.2599)
Se (0.2500, 0.7500, 0.7450)
Se (0.7500, 0.2500, 0.2550)

The 8 most intense peaks (10° ≤ 2θ ≤ 90°), by angle:
d [Å]	2θ (°)	intensity
8.010	11.0	61.9
5.605	15.8	34.8
4.268	20.8	100.0
4.005	22.2	91.6
3.695	24.1	35.5
3.117	28.6	30.8
2.499	35.9	44.7
2.017	44.9	27.1

---

[4]
Starting from a DFT-relaxed cell (PBE, Alexandria), the powder diffractogram of MgSn2 was computed for Cu Ka.
Lines closer than 0.1° are merged.

Structural model:
abc: 7.9642 7.9642 5.5998
angles: 90.00 90.00 154.08
Fractional positions:
Mg (0.2167, 0.7833, 0.7500)
Mg (0.7833, 0.2167, 0.2500)
Sn (0.1221, 0.8779, 0.2500)
Sn (0.4487, 0.5513, 0.2500)
Sn (0.5513, 0.4487, 0.7500)
Sn (0.8779, 0.1221, 0.7500)

The 8 most intense peaks (10° ≤ 2θ ≤ 90°), by angle:
d [Å]	2θ (°)	intensity
7.761	11.4	43.1
2.956	30.2	29.8
2.940	30.4	42.3
2.800	32.0	49.2
2.603	34.5	100.0
2.348	38.3	60.0
2.027	44.7	29.9
1.422	65.7	24.0

---

[5]
Starting from a DFT-relaxed cell (PBE, Alexandria), the powder diffractogram of Tm2Al9Rh3 was computed for Cu Ka.
Lines closer than 0.1° are merged.

Structural model:
abc: 7.5189 7.5189 9.4306
angles: 90.00 90.00 60.60
Fractional positions:
Tm (0.0047, 0.6724, 0.7500)
Tm (0.3276, 0.9953, 0.7500)
Tm (0.6724, 0.0047, 0.2500)
Tm (0.9953, 0.3276, 0.2500)
Al (0.0005, 0.6643, 0.0758)
Al (0.0005, 0.6643, 0.4242)
Al (0.1281, 0.8719, 0.2500)
Al (0.3327, 0.6673, 0.5516)
Al (0.3327, 0.6673, 0.9484)
Al (0.3357, 0.9995, 0.0758)
Al (0.3357, 0.9995, 0.4242)
Al (0.3400, 0.4489, 0.2500)
Al (0.4489, 0.3400, 0.7500)
Al (0.5511, 0.6600, 0.2500)
Al (0.6600, 0.5511, 0.7500)
Al (0.6643, 0.0005, 0.5758)
Al (0.6643, 0.0005, 0.9242)
Al (0.6673, 0.3327, 0.0516)
Al (0.6673, 0.3327, 0.4484)
Al (0.8719, 0.1281, 0.7500)
Al (0.9995, 0.3357, 0.5758)
Al (0.9995, 0.3357, 0.9242)
Rh (0.0000, 0.0000, 0.0000)
Rh (0.0000, 0.0000, 0.5000)
Rh (0.3277, 0.3277, 0.0000)
Rh (0.3277, 0.3277, 0.5000)
Rh (0.6723, 0.6723, 0.0000)
Rh (0.6723, 0.6723, 0.5000)

The 8 most intense peaks (10° ≤ 2θ ≤ 90°), by angle:
d [Å]	2θ (°)	intensity
3.492	25.5	58.7
2.956	30.2	49.7
2.939	30.4	100.0
2.412	37.3	70.4
2.358	38.2	44.8
2.183	41.4	91.0
2.164	41.7	43.1
1.602	57.5	40.9

---

[6]
Starting from a DFT-relaxed cell (PBE, Alexandria), the powder diffractogram of Cu2Au was computed for Cu Ka.
Lines closer than 0.1° are merged.

Structural model:
abc: 8.6547 8.6547 8.6547
angles: 161.85 152.89 32.82
Fractional positions:
Cu (0.2897, 0.0397, 0.2500)
Cu (0.4388, 0.1888, 0.2500)
Cu (0.5612, 0.8112, 0.7500)
Cu (0.7103, 0.9603, 0.7500)
Au (0.1359, 0.3859, 0.7500)
Au (0.8641, 0.6141, 0.2500)

The 8 most intense peaks (10° ≤ 2θ ≤ 90°), by angle:
d [Å]	2θ (°)	intensity
4.151	21.4	38.7
3.272	27.3	41.5
2.570	34.9	16.6
2.185	41.3	100.0
2.109	42.9	41.3
2.048	44.2	54.2
2.028	44.7	29.3
1.462	63.6	25.1

---

What did the first record say?
Starting from a DFT-relaxed cell (PBE, Alexandria), the powder diffractogram of AgHg5Pd6 was computed for Cu Ka.
Lines closer than 0.1° are merged.

Structural model:
abc: 4.8628 6.1567 7.2024
angles: 90.00 97.65 90.00
Fractional positions:
Ag (0.0000, 0.0000, 0.0000)
Hg (0.0000, 0.5000, 0.0000)
Hg (0.3295, 0.0000, 0.6739)
Hg (0.3308, 0.5000, 0.6668)
Hg (0.6692, 0.5000, 0.3332)
Hg (0.6705, 0.0000, 0.3261)
Pd (0.1704, 0.2485, 0.3346)
Pd (0.1704, 0.7515, 0.3346)
Pd (0.5000, 0.2514, 0.0000)
Pd (0.5000, 0.7486, 0.0000)
Pd (0.8296, 0.2485, 0.6654)
Pd (0.8296, 0.7515, 0.6654)

The 8 most intense peaks (10° ≤ 2θ ≤ 90°), by angle:
d [Å]	2θ (°)	intensity
2.382	37.8	100.0
2.174	41.5	38.3
1.884	48.3	16.0
1.539	60.1	6.4
1.424	65.6	20.5
1.293	73.2	14.4
1.291	73.4	14.2
1.163	83.0	7.9

---

Which formula does entry 1 have? AgHg5Pd6